Entry 1:
This entry pairs a crystal structure of Tb5Tm6 with its computed X-ray diffraction stick pattern. Radiation: a wavelength of 1.5418 Å. Structure: a crystal structure in Alexandria, relaxed with GGA-PBE.

Peak list (10 most intense, 10 to 80 degrees two-theta, low angle first)
Position (°2θ)	Rel. int.
29.3	69
31.0	100
31.5	89
32.2	89
35.3	58
35.4	73
37.1	31
57.6	23
59.8	22
66.4	21

Structural model:
Cell: 7.844 7.844 6.273 Å, 99.75 99.75 110.48°
Sites, in units of the cell vectors:
Tb  0.000  0.000  0.000
Tb  0.130  0.870  0.500
Tb  0.260  0.740  0.000
Tb  0.740  0.260  0.000
Tb  0.870  0.130  0.500
Tm  0.192  0.453  0.327
Tm  0.337  0.337  0.810
Tm  0.453  0.192  0.327
Tm  0.547  0.808  0.673
Tm  0.663  0.663  0.190
Tm  0.808  0.547  0.673



Entry 2:
This entry pairs a crystal structure of Tb7Tm2 with its computed X-ray diffraction stick pattern. Radiation: a wavelength of 1.5418 Å. Structure: a crystal structure in Alexandria, relaxed with GGA-PBE.

Peak list (6 most intense, 10 to 80 degrees two-theta, low angle first)
Position (°2θ)	Rel. int.
31.0	100
35.9	51
51.7	36
61.5	43
64.6	12
76.1	6

Structural model:
Cell: 6.126 6.126 8.658 Å, 90.00 90.00 120.00°
Sites, in units of the cell vectors:
Tb  0.000  0.000  0.000
Tb  0.000  0.334  0.668
Tb  0.000  0.666  0.332
Tb  0.334  0.000  0.668
Tb  0.334  0.334  0.332
Tb  0.666  0.000  0.332
Tb  0.666  0.666  0.668
Tm  0.333  0.667  0.000
Tm  0.667  0.333  0.000



Entry 3:
This entry pairs a crystal structure of Tb2Y3Tm5 with its computed X-ray diffraction stick pattern. Radiation: a wavelength of 1.5418 Å. Structure: a crystal structure in Alexandria, relaxed with GGA-PBE.

Peak list (10 most intense, 10 to 80 degrees two-theta, low angle first)
Position (°2θ)	Rel. int.
22.8	22
30.7	100
30.7	100
32.4	17
33.9	45
36.4	24
38.6	20
49.5	20
58.6	21
67.0	28

Structural model:
Cell: 9.419 9.419 9.418 Å, 108.25 108.25 111.72°
Sites, in units of the cell vectors:
Tb  0.023  0.266  0.049
Tb  0.266  0.023  0.549
Tb  0.734  0.977  0.451
Tb  0.977  0.734  0.951
Y  0.225  0.466  0.453
Y  0.269  0.731  0.250
Y  0.466  0.225  0.953
Y  0.534  0.775  0.047
Y  0.731  0.269  0.750
Y  0.775  0.534  0.547
Tm  0.024  0.976  0.750
Tm  0.146  0.375  0.769
Tm  0.230  0.770  0.750
Tm  0.375  0.146  0.269
Tm  0.471  0.529  0.250
Tm  0.529  0.471  0.750
Tm  0.625  0.854  0.731
Tm  0.770  0.230  0.250
Tm  0.854  0.625  0.231
Tm  0.976  0.024  0.250



What did the third record say?
This entry pairs a crystal structure of Tb2Y3Tm5 with its computed X-ray diffraction stick pattern. Radiation: a wavelength of 1.5418 Å. Structure: a crystal structure in Alexandria, relaxed with GGA-PBE.

Peak list (10 most intense, 10 to 80 degrees two-theta, low angle first)
Position (°2θ)	Rel. int.
22.8	22
30.7	100
30.7	100
32.4	17
33.9	45
36.4	24
38.6	20
49.5	20
58.6	21
67.0	28

Structural model:
Cell: 9.419 9.419 9.418 Å, 108.25 108.25 111.72°
Sites, in units of the cell vectors:
Tb  0.023  0.266  0.049
Tb  0.266  0.023  0.549
Tb  0.734  0.977  0.451
Tb  0.977  0.734  0.951
Y  0.225  0.466  0.453
Y  0.269  0.731  0.250
Y  0.466  0.225  0.953
Y  0.534  0.775  0.047
Y  0.731  0.269  0.750
Y  0.775  0.534  0.547
Tm  0.024  0.976  0.750
Tm  0.146  0.375  0.769
Tm  0.230  0.770  0.750
Tm  0.375  0.146  0.269
Tm  0.471  0.529  0.250
Tm  0.529  0.471  0.750
Tm  0.625  0.854  0.731
Tm  0.770  0.230  0.250
Tm  0.854  0.625  0.231
Tm  0.976  0.024  0.250



Please write out number 3 again, unchanged.
This entry pairs a crystal structure of Tb2Y3Tm5 with its computed X-ray diffraction stick pattern. Radiation: a wavelength of 1.5418 Å. Structure: a crystal structure in Alexandria, relaxed with GGA-PBE.

Peak list (10 most intense, 10 to 80 degrees two-theta, low angle first)
Position (°2θ)	Rel. int.
22.8	22
30.7	100
30.7	100
32.4	17
33.9	45
36.4	24
38.6	20
49.5	20
58.6	21
67.0	28

Structural model:
Cell: 9.419 9.419 9.418 Å, 108.25 108.25 111.72°
Sites, in units of the cell vectors:
Tb  0.023  0.266  0.049
Tb  0.266  0.023  0.549
Tb  0.734  0.977  0.451
Tb  0.977  0.734  0.951
Y  0.225  0.466  0.453
Y  0.269  0.731  0.250
Y  0.466  0.225  0.953
Y  0.534  0.775  0.047
Y  0.731  0.269  0.750
Y  0.775  0.534  0.547
Tm  0.024  0.976  0.750
Tm  0.146  0.375  0.769
Tm  0.230  0.770  0.750
Tm  0.375  0.146  0.269
Tm  0.471  0.529  0.250
Tm  0.529  0.471  0.750
Tm  0.625  0.854  0.731
Tm  0.770  0.230  0.250
Tm  0.854  0.625  0.231
Tm  0.976  0.024  0.250